Structure and theoretical powder X-ray diffraction pattern of Nd3Ni7Ru2 (a DFT-relaxed cell (PBE, Alexandria); CuKα).
Intensities are scaled so that the largest is 1000.

Crystal structure
Cell: 8.962 8.962 8.962 Å, 32.92 32.92 32.92°
Element x y z (fractional)
1 Nd 0.000 0.000 0.000
2 Nd 0.138 0.138 0.138
3 Nd 0.862 0.862 0.862
4 Ni 0.083 0.582 0.582
5 Ni 0.418 0.418 0.917
6 Ni 0.418 0.917 0.418
7 Ni 0.500 0.500 0.500
8 Ni 0.582 0.083 0.582
9 Ni 0.582 0.582 0.083
10 Ni 0.917 0.418 0.418
11 Ru 0.332 0.332 0.332
12 Ru 0.668 0.668 0.668

Peak list (6 most intense, 10 to 90 degrees two-theta, low angle first)
2θ (°)	intensity
31.97	321
34.85	270
35.35	552
41.20	276
41.46	1000
67.62	225